1.
Simulated powder diffraction line list
Compound: PuZn4Co
Radiation: Cu Kα
Structure: a crystal structure in Alexandria, relaxed with PBE
Kinematic intensities with the Lorentz-polarization factor, no thermal factor.

Atomic structure:
Lattice parameters (Å, degrees): 7.6470 3.9751 6.5441 90.00 90.00 90.00
Fractional positions:
Pu 0.2500 0.0000 0.0956
Pu 0.7500 0.0000 0.9044
Zn 0.0000 0.0000 0.5000
Zn 0.0507 0.5000 0.7979
Zn 0.2500 0.5000 0.4590
Zn 0.4493 0.5000 0.7979
Zn 0.5000 0.0000 0.5000
Zn 0.5507 0.5000 0.2021
Zn 0.7500 0.5000 0.5410
Zn 0.9493 0.5000 0.2021
Co 0.2500 0.0000 0.7261
Co 0.7500 0.0000 0.2739

Largest 12 diffraction maxima, in order of rising 2θ, 15 to 90 degrees two-theta:
3.824 Å, 2θ = 23.26°, I 18; 3.397 Å, 2θ = 26.23°, I 16; 3.301 Å, 2θ = 27.01°, I 18; 3.008 Å, 2θ = 29.70°, I 19; 2.756 Å, 2θ = 32.49°, I 35; 2.540 Å, 2θ = 35.34°, I 100; 2.399 Å, 2θ = 37.49°, I 58; 2.108 Å, 2θ = 42.91°, I 18; 2.098 Å, 2θ = 43.12°, I 29; 1.988 Å, 2θ = 45.64°, I 32; 1.912 Å, 2θ = 47.56°, I 20; 1.443 Å, 2θ = 64.60°, I 17

2.
Simulated powder diffraction line list
Compound: PuZn11Co
Radiation: Cu Kα
Structure: a crystal structure in Alexandria, relaxed with PBE
Kinematic intensities with the Lorentz-polarization factor, no thermal factor.

Atomic structure:
Lattice parameters (Å, degrees): 6.8156 6.8156 6.8047 97.61 97.61 136.91
Fractional positions:
Pu 0.0000 0.0000 0.0000
Zn 0.0000 0.0000 0.5000
Zn 0.0000 0.5000 0.0000
Zn 0.0255 0.3673 0.3602
Zn 0.2917 0.5046 0.7787
Zn 0.3673 0.0255 0.3602
Zn 0.4954 0.7083 0.2213
Zn 0.5000 0.0000 0.0000
Zn 0.5046 0.2917 0.7787
Zn 0.6327 0.9745 0.6398
Zn 0.7083 0.4954 0.2213
Zn 0.9745 0.6327 0.6398
Co 0.5000 0.5000 0.5000

Largest 12 diffraction maxima, in order of rising 2θ, 15 to 90 degrees two-theta:
3.137 Å, 2θ = 28.45°, I 41; 3.122 Å, 2θ = 28.59°, I 33; 2.836 Å, 2θ = 31.54°, I 36; 2.573 Å, 2θ = 34.87°, I 48; 2.561 Å, 2θ = 35.04°, I 52; 2.503 Å, 2θ = 35.88°, I 31; 2.243 Å, 2θ = 40.21°, I 100; 2.236 Å, 2θ = 40.34°, I 56; 2.227 Å, 2θ = 40.51°, I 90; 2.222 Å, 2θ = 40.60°, I 47; 2.191 Å, 2θ = 41.21°, I 67; 2.180 Å, 2θ = 41.41°, I 54

3.
Simulated powder diffraction line list
Compound: Pu2ZrCo9
Radiation: Cu Kα
Structure: a crystal structure in Alexandria, relaxed with PBE
Kinematic intensities with the Lorentz-polarization factor, no thermal factor.

Atomic structure:
Lattice parameters (Å, degrees): 8.6289 8.6289 8.6289 32.57 32.57 32.57
Fractional positions:
Pu 0.1391 0.1391 0.1391
Pu 0.8609 0.8609 0.8609
Zr 0.0000 0.0000 0.0000
Co 0.0806 0.5807 0.5807
Co 0.3335 0.3335 0.3335
Co 0.4193 0.4193 0.9194
Co 0.4193 0.9194 0.4193
Co 0.5000 0.5000 0.5000
Co 0.5807 0.0806 0.5807
Co 0.5807 0.5807 0.0806
Co 0.6665 0.6665 0.6665
Co 0.9194 0.4193 0.4193

Largest 12 diffraction maxima, in order of rising 2θ, 15 to 90 degrees two-theta:
3.459 Å, 2θ = 25.76°, I 40; 2.686 Å, 2θ = 33.36°, I 75; 2.472 Å, 2θ = 36.34°, I 56; 2.420 Å, 2θ = 37.15°, I 74; 2.320 Å, 2θ = 38.81°, I 23; 2.088 Å, 2θ = 43.33°, I 44; 2.082 Å, 2θ = 43.47°, I 100; 1.983 Å, 2θ = 45.76°, I 28; 1.966 Å, 2θ = 46.17°, I 35; 1.927 Å, 2θ = 47.17°, I 23; 1.443 Å, 2θ = 64.58°, I 23; 1.210 Å, 2θ = 79.15°, I 25

4.
Simulated powder diffraction line list
Compound: RbCo4
Radiation: Cu Kα
Structure: a crystal structure in Alexandria, relaxed with PBE
Kinematic intensities with the Lorentz-polarization factor, no thermal factor.

Atomic structure:
Lattice parameters (Å, degrees): 4.5344 4.5344 4.5344 90.00 90.00 90.00
Fractional positions:
Rb 0.0000 0.0000 0.0000
Co 0.0000 0.0000 0.5000
Co 0.0000 0.5000 0.0000
Co 0.5000 0.0000 0.0000
Co 0.5000 0.5000 0.5000

Largest 12 diffraction maxima, in order of rising 2θ, 15 to 90 degrees two-theta:
4.534 Å, 2θ = 19.58°, I 42; 3.206 Å, 2θ = 27.82°, I 36; 2.618 Å, 2θ = 34.25°, I 48; 2.267 Å, 2θ = 39.76°, I 100; 2.028 Å, 2θ = 44.69°, I 19; 1.851 Å, 2θ = 49.22°, I 14; 1.603 Å, 2θ = 57.49°, I 64; 1.511 Å, 2θ = 61.33°, I 9; 1.367 Å, 2θ = 68.65°, I 15; 1.309 Å, 2θ = 72.16°, I 21; 1.212 Å, 2θ = 79.01°, I 7; 1.134 Å, 2θ = 85.70°, I 10

5.
Simulated powder diffraction line list
Compound: RbCoRe2
Radiation: Cu Kα
Structure: a crystal structure in Alexandria, relaxed with PBE
Kinematic intensities with the Lorentz-polarization factor, no thermal factor.

Atomic structure:
Lattice parameters (Å, degrees): 4.9611 4.9611 16.4328 90.00 90.00 90.00
Fractional positions:
Rb 0.0000 0.2500 0.3750
Rb 0.0000 0.7500 0.6250
Rb 0.5000 0.2500 0.1250
Rb 0.5000 0.7500 0.8750
Co 0.0000 0.2500 0.8750
Co 0.0000 0.7500 0.1250
Co 0.5000 0.2500 0.6250
Co 0.5000 0.7500 0.3750
Re 0.0000 0.0000 0.0000
Re 0.0000 0.5000 0.0000
Re 0.2500 0.2500 0.7500
Re 0.2500 0.7500 0.2500
Re 0.5000 0.0000 0.5000
Re 0.5000 0.5000 0.5000
Re 0.7500 0.2500 0.7500
Re 0.7500 0.7500 0.2500

Largest 12 diffraction maxima, in order of rising 2θ, 15 to 90 degrees two-theta:
4.749 Å, 2θ = 18.68°, I 100; 4.108 Å, 2θ = 21.63°, I 30; 3.677 Å, 2θ = 24.20°, I 79; 3.226 Å, 2θ = 27.65°, I 32; 2.740 Å, 2θ = 32.68°, I 37; 2.375 Å, 2θ = 37.89°, I 83; 2.199 Å, 2θ = 41.05°, I 40; 2.123 Å, 2θ = 42.59°, I 22; 2.055 Å, 2θ = 44.06°, I 49; 1.839 Å, 2θ = 49.58°, I 55; 1.613 Å, 2θ = 57.10°, I 65; 1.370 Å, 2θ = 68.46°, I 24

6.
Simulated powder diffraction line list
Compound: RbCoRu
Radiation: Cu Kα
Structure: a crystal structure in Alexandria, relaxed with PBE
Kinematic intensities with the Lorentz-polarization factor, no thermal factor.

Atomic structure:
Lattice parameters (Å, degrees): 6.3076 5.7176 10.0564 90.00 90.92 90.00
Fractional positions:
Rb 0.2476 0.0000 0.2916
Rb 0.2524 0.5000 0.7084
Rb 0.7476 0.5000 0.2916
Rb 0.7524 0.0000 0.7084
Co 0.2170 0.5000 0.0941
Co 0.2830 0.0000 0.9059
Co 0.7170 0.0000 0.0941
Co 0.7830 0.5000 0.9059
Ru 0.0000 0.2254 0.0000
Ru 0.0000 0.7746 0.0000
Ru 0.5000 0.2746 0.0000
Ru 0.5000 0.7254 0.0000

Largest 12 diffraction maxima, in order of rising 2θ, 15 to 90 degrees two-theta:
3.352 Å, 2θ = 26.60°, I 73; 3.257 Å, 2θ = 27.38°, I 47; 3.222 Å, 2θ = 27.68°, I 68; 2.691 Å, 2θ = 33.30°, I 55; 2.652 Å, 2θ = 33.80°, I 30; 2.642 Å, 2θ = 33.93°, I 34; 2.615 Å, 2θ = 34.30°, I 63; 2.485 Å, 2θ = 36.14°, I 62; 2.118 Å, 2θ = 42.69°, I 100; 2.068 Å, 2θ = 43.77°, I 31; 1.782 Å, 2θ = 51.27°, I 29; 1.645 Å, 2θ = 55.90°, I 44